No. 1
This entry pairs a crystal structure of SrHgCl with its computed X-ray diffraction stick pattern. Radiation: CuKα. Structure: a structure optimized by DFT (PBE).

Structural model:
a b c (Å): 9.999 9.999 9.999
angles (deg): 155.19 155.19 35.37
Atoms (fractional coordinates):
Sr: 0.143 0.143 0.000
Sr: 0.857 0.857 0.000
Hg: 0.001 0.501 0.500
Hg: 0.499 0.999 0.500
Cl: 0.303 0.303 0.000
Cl: 0.697 0.697 0.000

Largest 8 diffraction maxima, by intensity, 2θ from 10° to 80°:
Position (°2θ)	I/Imax
30.90	100
35.04	86
28.10	38
42.07	37
51.36	29
18.63	22
72.34	22
69.96	19

No. 2
This entry pairs a crystal structure of TcHg3Cl with its computed X-ray diffraction stick pattern. Radiation: CuKα. Structure: a structure optimized by DFT (PBE).

Structural model:
a b c (Å): 5.431 5.431 5.431
angles (deg): 90.00 90.00 90.00
Atoms (fractional coordinates):
Tc: 0.000 0.000 0.000
Hg: 0.000 0.000 0.500
Hg: 0.000 0.500 0.000
Hg: 0.500 0.000 0.000
Cl: 0.500 0.500 0.500

Largest 8 diffraction maxima, by intensity, 2θ from 10° to 80°:
Position (°2θ)	I/Imax
28.46	100
32.99	98
47.34	72
16.32	67
56.17	46
37.01	37
78.81	33
58.91	25